Diffraction record for CdPIrO. The X-ray diffraction stick pattern is simulated, not measured: it uses the GGA-PBE geometry in OQMD and Cu Kα, 1.54184 Å.
Neutral-atom scattering factors, no anomalous dispersion.

Structure:
```
data_CdPIrO
_cell_length_a 4.040
_cell_length_b 4.040
_cell_length_c 7.947
_cell_angle_alpha 90.00
_cell_angle_beta 90.00
_cell_angle_gamma 90.00
_symmetry_space_group_name_H-M 'P 4/n m m'
_symmetry_Int_Tables_number 129
loop_
_symmetry_equiv_pos_as_xyz
'x,y,z'
'-x,-y,-z'
'-y+1/2,x,z'
'y+1/2,-x,-z'
'-x+1/2,-y+1/2,z'
'x+1/2,y+1/2,-z'
'y,-x+1/2,z'
'-y,x+1/2,-z'
'x+1/2,-y,-z'
'-x+1/2,y,z'
'-y,-x,-z'
'y,x,z'
'-x,y+1/2,-z'
'x,-y+1/2,z'
'y+1/2,x+1/2,-z'
'-y+1/2,-x+1/2,z'
loop_
_atom_site_label
_atom_site_type_symbol
_atom_site_fract_x
_atom_site_fract_y
_atom_site_fract_z
Cd1 Cd 0.250 0.250 0.109
P1 P 0.250 0.250 0.659
Ir1 Ir 0.250 0.750 0.500
O1 O 0.250 0.750 0.000
```

Largest 12 diffraction maxima, low angle first, 10° ≤ 2θ ≤ 90°:
- (0 0 1), d = 7.947 Å, rel. 51.8
- (0 0 2), d = 3.973 Å, rel. 53.5
- (1 0 2), d = 2.833 Å, rel. 38.7
- (1 1 1), d = 2.689 Å, rel. 100.0
- (0 0 3), d = 2.649 Å, rel. 15.2
- (1 1 2), d = 2.320 Å, rel. 41.9
- (2 0 0), d = 2.020 Å, rel. 44.6
- (1 1 3), d = 1.942 Å, rel. 15.0
- (2 0 2), d = 1.801 Å, rel. 23.9
- (1 1 4), d = 1.631 Å, rel. 39.7
- (2 0 3), d = 1.606 Å, rel. 14.2
- (3 1 1), d = 1.261 Å, rel. 19.8

---

Diffraction record for Gd3Si2Ag4Sn2. The X-ray diffraction stick pattern is simulated, not measured: it uses the GGA-PBE geometry in OQMD and Cu Kα, 1.54184 Å.
Neutral-atom scattering factors, no anomalous dispersion.

Structure:
```
data_Gd3Si2Ag4Sn2
_cell_length_a 4.380
_cell_length_b 7.296
_cell_length_c 14.875
_cell_angle_alpha 90.00
_cell_angle_beta 90.00
_cell_angle_gamma 90.00
_symmetry_space_group_name_H-M 'I m m m'
_symmetry_Int_Tables_number 71
_symmetry_space_group_name_Hall '-I 2 2'
loop_
_atom_site_label
_atom_site_type_symbol
_atom_site_fract_x
_atom_site_fract_y
_atom_site_fract_z
Gd1 Gd 0.000 0.000 0.000
Gd2 Gd 0.000 0.500 0.132
Si1 Si 0.000 0.000 0.217
Ag1 Ag 0.000 0.305 0.321
Sn1 Sn 0.000 0.197 0.500
```

Largest 12 diffraction maxima, low angle first, 10° ≤ 2θ ≤ 90°:
- (1 1 2), d = 3.352 Å, rel. 25.3
- (1 2 1), d = 2.755 Å, rel. 100.0
- (1 1 4), d = 2.642 Å, rel. 55.2
- (0 0 6), d = 2.479 Å, rel. 22.8
- (1 0 5), d = 2.461 Å, rel. 19.6
- (2 0 0), d = 2.190 Å, rel. 31.9
- (0 3 3), d = 2.184 Å, rel. 38.4
- (1 2 5), d = 2.041 Å, rel. 27.0
- (1 2 7), d = 1.693 Å, rel. 12.2
- (2 0 6), d = 1.641 Å, rel. 12.7
- (2 3 3), d = 1.546 Å, rel. 28.0
- (1 3 8), d = 1.400 Å, rel. 15.5

---

Diffraction record for YTm2Lu4Ni2Te2. The X-ray diffraction stick pattern is simulated, not measured: it uses the GGA-PBE geometry in OQMD and Cu Kα, 1.54184 Å.
Neutral-atom scattering factors, no anomalous dispersion.

Structure:
```
data_YTm2Lu4Ni2Te2
_cell_length_a 3.815
_cell_length_b 15.341
_cell_length_c 9.416
_cell_angle_alpha 90.00
_cell_angle_beta 90.00
_cell_angle_gamma 90.00
_symmetry_space_group_name_H-M 'I m m 2'
_symmetry_Int_Tables_number 44
loop_
_symmetry_equiv_pos_as_xyz
'x,y,z'
'-x,-y,z'
'-x,y,z'
'x,-y,z'
'x+1/2,y+1/2,z+1/2'
'-x+1/2,-y+1/2,z+1/2'
'-x+1/2,y+1/2,z+1/2'
'x+1/2,-y+1/2,z+1/2'
loop_
_atom_site_label
_atom_site_type_symbol
_atom_site_fract_x
_atom_site_fract_y
_atom_site_fract_z
Y1 Y 0.000 0.000 0.000
Tm1 Tm 0.000 0.352 0.269
Lu1 Lu 0.000 0.134 0.417
Lu2 Lu 0.000 0.315 0.621
Ni1 Ni 0.000 0.239 0.929
Te1 Te 0.000 0.000 0.662
Te2 Te 0.000 0.500 0.767
```

Largest 12 diffraction maxima, low angle first, 10° ≤ 2θ ≤ 90°:
- (1 0 1), d = 3.536 Å, rel. 27.7
- (1 3 0), d = 3.058 Å, rel. 18.3
- (1 1 2), d = 2.912 Å, rel. 62.2
- (0 3 3), d = 2.675 Å, rel. 84.7
- (1 4 1), d = 2.600 Å, rel. 100.0
- (1 3 2), d = 2.564 Å, rel. 65.0
- (0 6 0), d = 2.557 Å, rel. 22.8
- (1 0 3), d = 2.424 Å, rel. 19.5
- (1 2 3), d = 2.311 Å, rel. 20.7
- (2 0 0), d = 1.908 Å, rel. 29.9
- (2 3 3), d = 1.553 Å, rel. 32.8
- (1 10 1), d = 1.408 Å, rel. 19.1

---

Diffraction record for GdCo4B4. The X-ray diffraction stick pattern is simulated, not measured: it uses the GGA-PBE geometry in OQMD and Cu Kα, 1.54184 Å.
Neutral-atom scattering factors, no anomalous dispersion.

Structure:
```
data_GdCo4B4
_cell_length_a 5.016
_cell_length_b 5.016
_cell_length_c 7.002
_cell_angle_alpha 90.00
_cell_angle_beta 90.00
_cell_angle_gamma 90.00
_symmetry_space_group_name_H-M 'P 42/n m c'
_symmetry_Int_Tables_number 137
loop_
_symmetry_equiv_pos_as_xyz
'x,y,z'
'-x,-y,-z'
'-y+1/2,x,z+1/2'
'y+1/2,-x,-z+1/2'
'-x+1/2,-y+1/2,z'
'x+1/2,y+1/2,-z'
'y,-x+1/2,z+1/2'
'-y,x+1/2,-z+1/2'
'x+1/2,-y,-z'
'-x+1/2,y,z'
'-y,-x,-z+1/2'
'y,x,z+1/2'
'-x,y+1/2,-z'
'x,-y+1/2,z'
'y+1/2,x+1/2,-z+1/2'
'-y+1/2,-x+1/2,z+1/2'
loop_
_atom_site_label
_atom_site_type_symbol
_atom_site_fract_x
_atom_site_fract_y
_atom_site_fract_z
Gd1 Gd 0.250 0.750 0.250
Co1 Co 0.004 0.750 0.615
B1 B 0.075 0.250 0.090
```

Largest 12 diffraction maxima, low angle first, 10° ≤ 2θ ≤ 90°:
- (1 0 1), d = 4.077 Å, rel. 19.0
- (1 1 0), d = 3.546 Å, rel. 35.3
- (1 0 2), d = 2.871 Å, rel. 19.2
- (2 0 0), d = 2.508 Å, rel. 17.7
- (1 1 2), d = 2.492 Å, rel. 34.2
- (2 0 1), d = 2.361 Å, rel. 31.3
- (2 1 1), d = 2.136 Å, rel. 100.0
- (1 0 3), d = 2.116 Å, rel. 59.2
- (2 0 2), d = 2.039 Å, rel. 17.2
- (2 1 2), d = 1.889 Å, rel. 17.3
- (3 2 1), d = 1.364 Å, rel. 22.1
- (2 2 4), d = 1.246 Å, rel. 22.1

---

Diffraction record for Ba2ZrO4. The X-ray diffraction stick pattern is simulated, not measured: it uses the GGA-PBE geometry in OQMD and Cu Kα, 1.54184 Å.
Neutral-atom scattering factors, no anomalous dispersion.

Structure:
```
data_Ba2ZrO4
_cell_length_a 4.212
_cell_length_b 4.212
_cell_length_c 13.515
_cell_angle_alpha 90.00
_cell_angle_beta 90.00
_cell_angle_gamma 90.00
_symmetry_space_group_name_H-M 'I 4/m m m'
_symmetry_Int_Tables_number 139
_symmetry_space_group_name_Hall '-I 4 2'
loop_
_atom_site_label
_atom_site_type_symbol
_atom_site_fract_x
_atom_site_fract_y
_atom_site_fract_z
Ba1 Ba 0.000 0.000 0.147
Zr1 Zr 0.000 0.000 0.500
O1 O 0.000 0.000 0.342
O2 O 0.000 0.500 0.000
```

Largest 12 diffraction maxima, low angle first, 10° ≤ 2θ ≤ 90°:
- (1 0 3), d = 3.077 Å, rel. 100.0
- (1 1 0), d = 2.978 Å, rel. 62.8
- (0 0 6), d = 2.252 Å, rel. 13.8
- (1 1 4), d = 2.234 Å, rel. 14.8
- (2 0 0), d = 2.106 Å, rel. 32.1
- (1 1 6), d = 1.797 Å, rel. 18.3
- (2 1 3), d = 1.738 Å, rel. 38.4
- (2 0 6), d = 1.538 Å, rel. 15.5
- (2 2 0), d = 1.489 Å, rel. 10.0
- (3 1 0), d = 1.332 Å, rel. 10.5
- (3 1 6), d = 1.146 Å, rel. 8.6
- (3 2 3), d = 1.131 Å, rel. 10.1

---

Diffraction record for BaTmHg6. The X-ray diffraction stick pattern is simulated, not measured: it uses the GGA-PBE geometry in OQMD and Cu Kα, 1.54184 Å.
Neutral-atom scattering factors, no anomalous dispersion.

Structure:
```
data_BaTmHg6
_cell_length_a 6.8260
_cell_length_b 6.8260
_cell_length_c 5.1620
_cell_angle_alpha 90.00
_cell_angle_beta 90.00
_cell_angle_gamma 120.00
_symmetry_space_group_name_H-M 'P -6 m 2'
_symmetry_Int_Tables_number 187
_symmetry_space_group_name_Hall 'P -6 2'
loop_
_atom_site_label
_atom_site_type_symbol
_atom_site_fract_x
_atom_site_fract_y
_atom_site_fract_z
Ba1 Ba 0.0000 0.0000 0.0000
Tm1 Tm 0.3333 0.6667 0.5000
Hg1 Hg 0.0103 0.5051 0.0000
Hg2 Hg 0.3580 0.1790 0.5000
```

Largest 12 diffraction maxima, low angle first, 10° ≤ 2θ ≤ 90°:
- (2 0 0), d = 2.956 Å, rel. 24.3
- (0 0 2), d = 2.581 Å, rel. 23.1
- (2 0 1), d = 2.565 Å, rel. 100.0
- (2 0 2), d = 1.944 Å, rel. 14.9
- (2 2 0), d = 1.707 Å, rel. 19.0
- (2 0 3), d = 1.487 Å, rel. 19.1
- (2 2 2), d = 1.423 Å, rel. 21.0
- (4 0 1), d = 1.421 Å, rel. 15.3
- (0 0 4), d = 1.290 Å, rel. 3.2
- (4 0 2), d = 1.283 Å, rel. 3.7
- (4 0 3), d = 1.121 Å, rel. 7.5
- (4 2 1), d = 1.092 Å, rel. 13.4